For TbPr4Bi2, a structure optimized by DFT (GGA-PBE) gives the theoretical powder X-ray diffraction pattern in this record (Cu Kα, 1.54184 Å).
No peak broadening, texture or thermal motion is included.

The 10 most intense peaks (2θ from 10° to 90°), low angle first:
- 10.2°, 8.702 Å, intensity 24.8
- 22.7°, 3.909 Å, intensity 60.3
- 25.0°, 3.566 Å, intensity 39.2
- 30.3°, 2.946 Å, intensity 64.4
- 30.8°, 2.905 Å, intensity 86.3
- 32.4°, 2.764 Å, intensity 100.0
- 45.0°, 2.016 Å, intensity 44.2
- 45.3°, 2.001 Å, intensity 41.1
- 46.5°, 1.955 Å, intensity 37.0
- 56.8°, 1.622 Å, intensity 41.7

Structural model:
```
TbPr4Bi2
1.0
-2.764 2.764 8.702
2.764 -2.764 8.702
2.764 2.764 -8.702
Tb Pr Bi
1 4 2
direct
0.000 0.000 0.000
0.000 0.500 0.500
0.182 0.182 0.000
0.500 0.000 0.500
0.818 0.818 0.000
0.366 0.366 0.000
0.634 0.634 0.000
```



For Tb2PrBi2, a structure optimized by DFT (GGA-PBE) gives the theoretical powder X-ray diffraction pattern in this record (Cu Kα, 1.54184 Å).
No peak broadening, texture or thermal motion is included.

The 10 most intense peaks (2θ from 10° to 90°), low angle first:
- 20.2°, 4.392 Å, intensity 36.1
- 26.1°, 3.409 Å, intensity 52.2
- 29.9°, 2.988 Å, intensity 100.0
- 30.0°, 2.977 Å, intensity 34.0
- 35.3°, 2.544 Å, intensity 98.2
- 36.3°, 2.474 Å, intensity 53.4
- 36.4°, 2.466 Å, intensity 17.3
- 39.3°, 2.293 Å, intensity 77.0
- 53.8°, 1.705 Å, intensity 47.2
- 67.7°, 1.383 Å, intensity 23.1

Structural model:
```
Tb2PrBi2
1.0
3.236 -3.249 0.000
3.236 3.249 0.000
-3.216 0.000 7.644
Tb Pr Bi
2 1 2
direct
0.250 0.750 0.000
0.750 0.250 0.000
0.000 0.000 0.500
0.395 0.395 0.292
0.605 0.605 0.708
```



For Tb4PrBi5, a structure optimized by DFT (GGA-PBE) gives the theoretical powder X-ray diffraction pattern in this record (Cu Kα, 1.54184 Å).
No peak broadening, texture or thermal motion is included.

The 10 most intense peaks (2θ from 10° to 90°), low angle first:
- 24.1°, 3.693 Å, intensity 3.7
- 27.9°, 3.198 Å, intensity 100.0
- 39.9°, 2.261 Å, intensity 78.2
- 47.1°, 1.928 Å, intensity 2.2
- 49.4°, 1.846 Å, intensity 28.4
- 57.6°, 1.599 Å, intensity 13.5
- 63.4°, 1.467 Å, intensity 1.0
- 65.2°, 1.430 Å, intensity 37.2
- 72.4°, 1.306 Å, intensity 27.6
- 86.0°, 1.131 Å, intensity 9.1

Structural model:
```
Tb4PrBi5
1.0
-2.262 3.199 11.301
2.262 -3.199 11.301
2.262 3.199 -11.301
Tb Pr Bi
4 1 5
direct
0.100 0.100 0.000
0.298 0.298 0.000
0.702 0.702 0.000
0.900 0.900 0.000
0.500 0.500 0.000
0.000 0.500 0.500
0.199 0.699 0.500
0.396 0.896 0.500
0.604 0.104 0.500
0.801 0.301 0.500
```



For Pr4Bi3Te, a structure optimized by DFT (GGA-PBE) gives the theoretical powder X-ray diffraction pattern in this record (Cu Kα, 1.54184 Å).
No peak broadening, texture or thermal motion is included.

The 10 most intense peaks (2θ from 10° to 90°), low angle first:
- 15.2°, 5.840 Å, intensity 1.9
- 23.6°, 3.769 Å, intensity 3.2
- 27.3°, 3.264 Å, intensity 100.0
- 39.0°, 2.308 Å, intensity 78.4
- 46.1°, 1.968 Å, intensity 1.9
- 48.3°, 1.885 Å, intensity 28.6
- 56.4°, 1.632 Å, intensity 13.6
- 63.8°, 1.460 Å, intensity 37.6
- 70.7°, 1.333 Å, intensity 27.9
- 83.8°, 1.154 Å, intensity 9.0

Structural model:
```
Pr4Bi3Te
1.0
-3.265 3.265 6.527
3.265 -3.265 6.527
3.265 3.265 -6.527
Pr Bi Te
4 3 1
direct
0.000 0.500 0.500
0.249 0.249 0.000
0.500 0.000 0.500
0.751 0.751 0.000
0.000 0.000 0.000
0.250 0.750 0.500
0.750 0.250 0.500
0.500 0.500 0.000
```



For Pr4Bi2Te, a structure optimized by DFT (GGA-PBE) gives the theoretical powder X-ray diffraction pattern in this record (Cu Kα, 1.54184 Å).
No peak broadening, texture or thermal motion is included.

The 10 most intense peaks (2θ from 10° to 90°), low angle first:
- 22.5°, 3.958 Å, intensity 13.9
- 29.0°, 3.078 Å, intensity 45.0
- 29.2°, 3.056 Å, intensity 100.0
- 34.6°, 2.596 Å, intensity 43.0
- 34.7°, 2.586 Å, intensity 52.4
- 41.8°, 2.162 Å, intensity 18.7
- 43.8°, 2.066 Å, intensity 19.0
- 46.0°, 1.975 Å, intensity 13.8
- 58.8°, 1.569 Å, intensity 16.1
- 71.7°, 1.316 Å, intensity 16.1

Structural model:
```
Pr4Bi2Te
1.0
-4.831 4.831 4.870
4.831 -4.831 4.870
4.831 4.831 -4.870
Pr Bi Te
8 4 2
direct
0.119 0.230 0.745
0.124 0.735 0.755
0.265 0.020 0.389
0.485 0.374 0.255
0.626 0.881 0.111
0.631 0.876 0.611
0.770 0.515 0.889
0.980 0.369 0.245
0.254 0.625 0.129
0.375 0.504 0.629
0.496 0.125 0.871
0.875 0.746 0.371
0.000 0.000 0.000
0.750 0.250 0.500
```



For Pr3BiTe, a structure optimized by DFT (GGA-PBE) gives the theoretical powder X-ray diffraction pattern in this record (Cu Kα, 1.54184 Å).
No peak broadening, texture or thermal motion is included.

The 10 most intense peaks (2θ from 10° to 90°), low angle first:
- 27.0°, 3.298 Å, intensity 12.7
- 27.8°, 3.204 Å, intensity 27.4
- 29.0°, 3.074 Å, intensity 26.0
- 30.4°, 2.939 Å, intensity 100.0
- 32.5°, 2.751 Å, intensity 36.9
- 33.0°, 2.716 Å, intensity 11.5
- 34.2°, 2.621 Å, intensity 18.5
- 39.6°, 2.278 Å, intensity 30.2
- 40.4°, 2.233 Å, intensity 13.5
- 49.1°, 1.856 Å, intensity 14.9

Structural model:
```
Pr3BiTe
1.0
8.582 0.000 0.000
0.000 4.557 0.000
0.000 0.000 17.272
Pr Bi Te
12 4 4
direct
0.014 0.250 0.107
0.136 0.250 0.558
0.168 0.750 0.276
0.332 0.250 0.776
0.364 0.750 0.058
0.486 0.750 0.607
0.514 0.250 0.393
0.636 0.250 0.942
0.668 0.750 0.224
0.832 0.250 0.724
0.864 0.750 0.442
0.986 0.750 0.893
0.113 0.750 0.699
0.387 0.250 0.199
0.613 0.750 0.801
0.887 0.250 0.301
0.227 0.250 0.951
0.273 0.750 0.451
0.727 0.250 0.549
0.773 0.750 0.049
```